# NbAlZnMo2
Simulated PXRD pattern, Cu Kα X-rays. Input: the PBE geometry in Alexandria.

Structural model:
a = 4.6123 Å, b = 4.6123 Å, c = 4.2474 Å
α = 90.00°, β = 90.00°, γ = 90.00°
Sites, in units of the cell vectors:
Nb: 0.0000 0.0000 0.0000
Al: 0.5000 0.5000 0.5000
Zn: 0.5000 0.5000 0.0000
Mo: 0.0000 0.5000 0.5000
Mo: 0.5000 0.0000 0.5000

Principal peaks in the range 2θ = 5–70°, in order of rising 2θ:
d_spacing	Position (°2θ)	I/Imax	hkl
4.247	20.9	3	0 0 1
3.124	28.6	4	1 0 1
2.587	34.7	100	1 1 1
2.306	39.1	48	2 0 0
2.124	42.6	19	0 0 2
2.027	44.7	1	2 0 1
1.855	49.1	2	2 1 1
1.631	56.4	16	2 2 0
1.562	59.1	27	2 0 2
1.522	60.8	1	2 2 1
1.379	68.0	26	3 1 1